Record 1
Diffraction record for Na3Tl6Pd. The powder diffractogram is simulated, not measured: it uses the GGA-PBE geometry in Alexandria and Cu Kα X-rays.
Intensities are scaled so that the largest is 100.

Peak list (12 most intense, 5° ≤ 2θ ≤ 70°, in order of rising 2θ)
- 2θ = 18.14°, rel. 100.0, (0 1 2)
- 2θ = 26.32°, rel. 58.4, (1 2 2)
- 2θ = 28.19°, rel. 49.4, (2 -1 3)
- 2θ = 32.24°, rel. 41.5, (4 0 1)
- 2θ = 32.61°, rel. 53.9, (3 1 2)
- 2θ = 34.14°, rel. 59.4, (0 3 3)
- 2θ = 35.03°, rel. 44.5, (3 2 1)
- 2θ = 35.38°, rel. 44.0, (0 4 2)
- 2θ = 35.80°, rel. 89.6, (4 1 0)
- 2θ = 36.81°, rel. 36.3, (4 -2 3)
- 2θ = 37.97°, rel. 29.7, (5 -3 2)
- 2θ = 46.96°, rel. 31.4, (1 2 5)

Structure:
abc: 13.2718 13.2718 10.8066
angles: 90.00 90.00 120.00
Space group R-3 (No. 148, hexagonal axes)
One atom of each set of equivalent atoms:
Na1 0.0472 0.8804 0.2459
Tl1 0.0132 0.7775 0.5345
Tl2 0.0749 0.5807 0.6148
Pd1 0.0000 0.0000 0.0000
Pd2 0.0000 0.0000 0.5000


Record 2
Diffraction record for BaSnSbH. The powder diffractogram is simulated, not measured: it uses the GGA-PBE geometry in Alexandria and Cu Kα X-rays.
Intensities are scaled so that the largest is 100.

Peak list (12 most intense, 5° ≤ 2θ ≤ 70°, in order of rising 2θ)
- 2θ = 24.38°, rel. 54.6, (1 0 1)
- 2θ = 24.62°, rel. 23.5, (0 0 4)
- 2θ = 26.65°, rel. 77.9, (1 0 2)
- 2θ = 30.08°, rel. 100.0, (1 0 3)
- 2θ = 34.35°, rel. 40.8, (1 0 4)
- 2θ = 41.46°, rel. 63.7, (1 1 0)
- 2θ = 44.61°, rel. 29.6, (1 0 6)
- 2θ = 48.81°, rel. 22.0, (1 1 4)
- 2θ = 50.35°, rel. 16.6, (1 0 7)
- 2θ = 52.06°, rel. 21.1, (2 0 3)
- 2θ = 56.98°, rel. 16.0, (1 1 6)
- 2θ = 68.64°, rel. 18.4, (2 1 3)

Structure:
abc: 4.3562 4.3562 14.4639
angles: 90.00 90.00 120.00
Space group P6_3mc (No. 186)
One atom of each set of equivalent atoms:
Ba1 0.3333 0.6667 0.0000
Sn1 0.0000 0.0000 0.2102
Sb1 0.3333 0.6667 0.3129
H1 0.0000 0.0000 0.4801


Record 3
Diffraction record for NpPt3O8. The powder diffractogram is simulated, not measured: it uses the GGA-PBE geometry in Alexandria and Cu Kα X-rays.
Intensities are scaled so that the largest is 100.

Peak list (12 most intense, 5° ≤ 2θ ≤ 70°, in order of rising 2θ)
- 2θ = 18.40°, rel. 45.6, (0 0 2)
- 2θ = 18.66°, rel. 97.1, (1 0 1)
- 2θ = 24.62°, rel. 37.7, (1 0 2)
- 2θ = 32.30°, rel. 43.6, (1 0 3)
- 2θ = 32.78°, rel. 28.7, (2 0 0)
- 2θ = 33.95°, rel. 63.4, (1 1 2)
- 2θ = 34.10°, rel. 100.0, (2 0 1)
- 2θ = 37.29°, rel. 20.1, (0 0 4)
- 2θ = 43.46°, rel. 41.6, (2 0 3)
- 2θ = 50.48°, rel. 20.1, (2 0 4)
- 2θ = 52.67°, rel. 25.3, (2 1 3)
- 2θ = 58.54°, rel. 75.3, (2 2 0)

Structure:
abc: 6.3101 6.3101 9.6459
angles: 90.00 90.00 120.00
Space group P6_3mc (No. 186)
One atom of each set of equivalent atoms:
Np1 0.3333 0.6667 0.0000
Pt1 0.1667 0.3333 0.7192
O1 0.0000 0.0000 0.3183
O2 0.0380 0.5190 0.8359
O3 0.1569 0.3137 0.1098
O4 0.3333 0.6667 0.6191


Record 4
Diffraction record for YH2Se. The powder diffractogram is simulated, not measured: it uses the GGA-PBE geometry in Alexandria and Cu Kα X-rays.
Intensities are scaled so that the largest is 100.

Peak list (12 most intense, 5° ≤ 2θ ≤ 70°, in order of rising 2θ)
- 2θ = 9.20°, rel. 75.9, (0 0 2)
- 2θ = 18.47°, rel. 52.5, (0 0 4)
- 2θ = 27.63°, rel. 11.4, (1 1 3)
- 2θ = 33.44°, rel. 100.0, (1 1 5)
- 2θ = 33.91°, rel. 73.4, (0 2 0)
- 2θ = 38.89°, rel. 33.3, (2 0 4)
- 2θ = 48.72°, rel. 26.3, (2 2 0)
- 2θ = 49.14°, rel. 33.0, (1 1 9)
- 2θ = 52.54°, rel. 13.2, (2 2 4)
- 2θ = 58.30°, rel. 15.7, (1 1 11)
- 2θ = 60.33°, rel. 17.4, (1 3 5)
- 2θ = 60.43°, rel. 17.1, (3 1 5)

Structure:
abc: 5.2804 5.2928 19.2182
angles: 90.00 90.00 90.00
Space group Fmmm (No. 69)
One atom of each set of equivalent atoms:
Y1 0.0000 0.0000 0.1791
H1 0.0715 0.0000 0.0000
H2 0.2500 0.2500 0.2500
Se1 0.0000 0.0000 0.3800


Record 5
Diffraction record for Ac6Ge2Pb3. The powder diffractogram is simulated, not measured: it uses the GGA-PBE geometry in Alexandria and Cu Kα X-rays.
Intensities are scaled so that the largest is 100.

Peak list (12 most intense, 5° ≤ 2θ ≤ 70°, in order of rising 2θ)
- 2θ = 22.10°, rel. 55.8, (1 1 2)
- 2θ = 25.13°, rel. 15.7, (1 1 4)
- 2θ = 28.33°, rel. 49.7, (1 0 7)
- 2θ = 29.54°, rel. 87.3, (1 1 6)
- 2θ = 29.87°, rel. 100.0, (2 0 0)
- 2θ = 34.55°, rel. 15.4, (0 0 10)
- 2θ = 41.63°, rel. 36.1, (2 1 7)
- 2θ = 42.75°, rel. 38.5, (2 2 0)
- 2θ = 46.31°, rel. 18.2, (2 0 10)
- 2θ = 48.63°, rel. 14.4, (3 1 2)
- 2θ = 52.82°, rel. 36.1, (3 1 6)
- 2θ = 62.05°, rel. 13.1, (4 0 0)

Structure:
abc: 5.9830 5.9830 25.9434
angles: 90.00 90.00 90.00
Space group I4/mmm (No. 139)
One atom of each set of equivalent atoms:
Ac1 0.0000 0.0000 0.2076
Ac2 0.0000 0.5000 0.0813
Ge1 0.0000 0.0000 0.0938
Pb1 0.0000 0.0000 0.3373
Pb2 0.0000 0.0000 0.5000


Record 6
Diffraction record for Tl12In17. The powder diffractogram is simulated, not measured: it uses the GGA-PBE geometry in Alexandria and Cu Kα X-rays.
Intensities are scaled so that the largest is 100.

Peak list (12 most intense, 5° ≤ 2θ ≤ 70°, in order of rising 2θ)
- 2θ = 18.17°, rel. 16.9, (2 1 1)
- 2θ = 29.88°, rel. 19.7, (4 0 0)
- 2θ = 31.74°, rel. 100.0, (4 1 1)
- 2θ = 35.20°, rel. 55.4, (3 3 2)
- 2θ = 36.82°, rel. 13.4, (4 2 2)
- 2θ = 38.38°, rel. 40.2, (4 3 1)
- 2θ = 54.23°, rel. 25.1, (5 5 0)
- 2θ = 56.55°, rel. 21.6, (7 2 1)
- 2θ = 57.68°, rel. 12.9, (6 4 2)
- 2θ = 61.00°, rel. 11.5, (7 3 2)
- 2θ = 63.16°, rel. 10.0, (8 1 1)
- 2θ = 66.32°, rel. 9.5, (8 2 2)

Structure:
abc: 11.9593 11.9593 11.9593
angles: 90.00 90.00 90.00
Space group I-43m (No. 217)
One atom of each set of equivalent atoms:
Tl1 0.0967 0.0967 0.7088
In1 0.0000 0.0000 0.0000
In2 0.0533 0.3637 0.6363
In3 0.1702 0.1702 0.1702


Record 7
Diffraction record for LiCaSmSe3. The powder diffractogram is simulated, not measured: it uses the GGA-PBE geometry in Alexandria and Cu Kα X-rays.
Intensities are scaled so that the largest is 100.

Peak list (12 most intense, 5° ≤ 2θ ≤ 70°, in order of rising 2θ)
- 2θ = 10.14°, rel. 25.3, (0 0 1)
- 2θ = 13.12°, rel. 30.9, (1 0 -1)
- 2θ = 24.06°, rel. 24.6, (1 1 0)
- 2θ = 24.77°, rel. 16.6, (1 0 2)
- 2θ = 30.39°, rel. 44.1, (2 1 0)
- 2θ = 30.73°, rel. 100.0, (0 0 3)
- 2θ = 37.66°, rel. 18.8, (1 1 -3)
- 2θ = 39.22°, rel. 26.4, (2 1 2)
- 2θ = 40.51°, rel. 16.9, (2 1 -3)
- 2θ = 42.23°, rel. 18.1, (4 0 -1)
- 2θ = 43.96°, rel. 20.1, (0 2 0)
- 2θ = 54.59°, rel. 18.3, (0 2 3)

Structure:
abc: 8.5696 4.1193 8.8984
angles: 90.00 101.32 90.00
Space group P2_1/m (No. 11)
One atom of each set of equivalent atoms:
Li1 0.0843 0.2500 0.0831
Ca1 0.1779 0.2500 0.7277
Sm1 0.3342 0.7500 0.3266
Se1 0.1025 0.2500 0.3688
Se2 0.2151 0.7500 0.9976
Se3 0.4224 0.7500 0.6679


Record 8
Diffraction record for PrGeBO5. The powder diffractogram is simulated, not measured: it uses the GGA-PBE geometry in Alexandria and Cu Kα X-rays.
Intensities are scaled so that the largest is 100.

Peak list (12 most intense, 5° ≤ 2θ ≤ 70°, in order of rising 2θ)
- 2θ = 19.50°, rel. 23.7, (0 1 1)
- 2θ = 25.31°, rel. 89.8, (1 1 0)
- 2θ = 29.31°, rel. 63.5, (2 0 0)
- 2θ = 29.93°, rel. 100.0, (1 0 2)
- 2θ = 36.62°, rel. 21.9, (2 -1 2)
- 2θ = 39.11°, rel. 20.4, (2 1 0)
- 2θ = 39.59°, rel. 25.9, (0 2 2)
- 2θ = 41.35°, rel. 19.0, (2 1 1)
- 2θ = 47.57°, rel. 70.6, (1 2 2)
- 2θ = 52.37°, rel. 21.4, (3 0 2)
- 2θ = 54.27°, rel. 30.5, (3 1 0)
- 2θ = 68.25°, rel. 21.5, (2 1 4)

Structure:
abc: 7.0372 7.0372 6.8493
angles: 90.00 90.00 120.00
Space group P3_1 (No. 144)
One atom of each set of equivalent atoms:
Pr1 0.0827 0.7466 0.0000
Ge1 0.0836 0.7563 0.5001
B1 0.5666 0.2166 0.9675
O1 0.0179 0.5282 0.3405
O2 0.0538 0.1763 0.6525
O3 0.1942 0.4731 0.0105
O4 0.3412 0.1923 0.9948
O5 0.6226 0.3554 0.4322